Entry 1:
The following is a calculated XRD peak list of NbCu2Pt3. It was derived from a DFT-relaxed cell (PBE, Alexandria), using Cu Kα, 1.54184 Å.
No peak broadening, texture or thermal motion is included.

Main lines, by intensity (10° ≤ 2θ ≤ 90°):
Position (°2θ)  d (Å)  intensity
40.04  2.252  100
45.14  2.009  18
45.69  1.986  17
31.68  2.824  17
23.86  3.730  16
48.83  1.865  14
80.64  1.191  13
79.84  1.201  13
66.17  1.412  11
85.29  1.138  11

Atomic structure:
```
NbCu2Pt3
1.0
1.9857 -6.0262 0.0000
1.9857 6.0262 0.0000
0.0000 0.0000 7.4599
Nb Cu Pt
2 4 6
Direct
0.1590 0.8410 0.0000
0.8410 0.1590 0.0000
0.1724 0.8276 0.5000
0.5000 0.5000 0.0000
0.5000 0.5000 0.5000
0.8276 0.1724 0.5000
0.0000 0.0000 0.2618
0.0000 0.0000 0.7382
0.3351 0.6649 0.2541
0.3351 0.6649 0.7459
0.6649 0.3351 0.2541
0.6649 0.3351 0.7459
```



Entry 2:
The following is a calculated XRD peak list of TeW2Se3. It was derived from a DFT-relaxed cell (PBE, Alexandria), using Cu Kα, 1.54184 Å.
No peak broadening, texture or thermal motion is included.

Main lines, by intensity (10° ≤ 2θ ≤ 90°):
Position (°2θ)  d (Å)  intensity
12.28  7.207  100
35.94  2.499  82
44.10  2.054  56
30.55  2.926  32
54.30  1.689  25
77.45  1.232  16
33.04  2.711  16
72.44  1.305  13
66.85  1.400  13
55.90  1.645  13

Atomic structure:
```
TeW2Se3
1.0
3.3786 0.0000 0.0000
-1.6893 2.9260 0.0000
0.0000 0.0000 14.4138
Te W Se
1 2 3
Direct
0.0000 0.0000 0.0000
0.0000 0.0000 0.3777
0.6667 0.3333 0.8681
0.0000 0.0000 0.7537
0.6667 0.3333 0.2625
0.6667 0.3333 0.4930
```



Entry 3:
The following is a calculated XRD peak list of LaDy4In5. It was derived from a DFT-relaxed cell (PBE, Alexandria), using Cu Kα, 1.54184 Å.
No peak broadening, texture or thermal motion is included.

Main lines, by intensity (10° ≤ 2θ ≤ 90°):
Position (°2θ)  d (Å)  intensity
33.32  2.689  100
33.51  2.675  52
59.78  1.547  37
48.11  1.891  19
59.42  1.556  16
69.96  1.345  10
80.26  1.196  8
47.55  1.912  8
80.15  1.197  8
70.41  1.337  6

Atomic structure:
```
LaDy4In5
1.0
3.7824 0.0000 0.0000
0.0000 3.7824 0.0000
0.0000 0.0000 19.1228
La Dy In
1 4 5
Direct
0.0000 0.0000 0.0000
0.0000 0.0000 0.2083
0.0000 0.0000 0.4029
0.0000 0.0000 0.5971
0.0000 0.0000 0.7917
0.5000 0.5000 0.1119
0.5000 0.5000 0.3057
0.5000 0.5000 0.5000
0.5000 0.5000 0.6943
0.5000 0.5000 0.8881
```



Entry 4:
The following is a calculated XRD peak list of AgPbSeBr. It was derived from a DFT-relaxed cell (PBE, Alexandria), using Cu Kα, 1.54184 Å.
No peak broadening, texture or thermal motion is included.

Main lines, by intensity (10° ≤ 2θ ≤ 90°):
Position (°2θ)  d (Å)  intensity
20.93  4.245  100
35.69  2.515  99
46.22  1.964  83
28.39  3.144  53
31.36  2.852  36
71.57  1.318  23
26.30  3.388  20
23.58  3.773  20
64.12  1.452  18
41.74  2.164  17

Atomic structure:
```
AgPbSeBr
1.0
2.5154 1.4523 12.5762
-2.5154 1.4523 12.5762
0.0000 -2.9046 12.5762
Ag Pb Se Br
2 2 2 2
Direct
0.1308 0.1308 0.1308
0.8692 0.8692 0.8692
0.2972 0.2972 0.2972
0.7028 0.7028 0.7028
0.3758 0.3758 0.3758
0.6242 0.6242 0.6242
0.2057 0.2057 0.2057
0.7943 0.7943 0.7943
```



Entry 5:
The following is a calculated XRD peak list of LiCu2Re. It was derived from a DFT-relaxed cell (PBE, Alexandria), using Cu Kα, 1.54184 Å.
No peak broadening, texture or thermal motion is included.

Main lines, by intensity (10° ≤ 2θ ≤ 90°):
Position (°2θ)  d (Å)  intensity
10.40  8.508  100
42.39  2.132  84
20.88  4.254  38
42.50  2.127  20
36.46  2.464  19
44.54  2.034  18
38.02  2.367  18
77.69  1.229  15
80.56  1.192  12
63.25  1.470  12

Atomic structure:
```
LiCu2Re
1.0
1.5482 -2.0343 0.0000
1.5482 2.0343 0.0000
0.0000 0.0000 8.5084
Li Cu Re
1 2 1
Direct
0.0000 0.0000 0.0000
0.0000 0.0000 0.5173
0.5000 0.5000 0.7488
0.5000 0.5000 0.2650
```



Entry 6:
The following is a calculated XRD peak list of La3Hg2Pt. It was derived from a DFT-relaxed cell (PBE, Alexandria), using Cu Kα, 1.54184 Å.
No peak broadening, texture or thermal motion is included.

Main lines, by intensity (10° ≤ 2θ ≤ 90°):
Position (°2θ)  d (Å)  intensity
33.05  2.710  100
33.59  2.668  21
59.71  1.549  15
47.88  1.900  14
59.09  1.563  12
69.32  1.356  8
46.97  1.935  7
58.97  1.566  7
58.66  1.574  7
79.65  1.204  5

Atomic structure:
```
La3Hg2Pt
1.0
5.3364 0.0000 0.0000
0.0000 7.7390 0.0000
-2.6636 0.0000 8.1182
La Hg Pt
6 4 2
Direct
0.0000 0.2417 0.0000
0.0000 0.7583 0.0000
0.3237 0.2218 0.6492
0.3237 0.7782 0.6492
0.6763 0.2218 0.3508
0.6763 0.7782 0.3508
0.1674 0.5000 0.3330
0.5000 0.0000 0.0000
0.5000 0.5000 0.0000
0.8326 0.5000 0.6670
0.1500 0.0000 0.2990
0.8500 0.0000 0.7010
```